For NpSi2Ni, the GGA-PBE geometry in OQMD gives the theoretical powder XRD pattern in this record (Cu Kα (λ = 1.5418 Å)).
Neutral-atom scattering factors, no anomalous dispersion.

Cell and atoms:
```
data_NpSi2Ni
_cell_length_a 4.029
_cell_length_b 16.059
_cell_length_c 3.993
_cell_angle_alpha 90.00
_cell_angle_beta 90.00
_cell_angle_gamma 90.00
_space_group_name_H-M_alt 'C m c m'
_space_group_IT_number 63
_space_group_name_Hall '-C 2c 2'
loop_
_atom_site_label
_atom_site_type_symbol
_atom_site_fract_x
_atom_site_fract_y
_atom_site_fract_z
_atom_site_occupancy
Np1 Np 0.000 0.103 0.250 1
Si1 Si 0.000 0.249 0.750 1
Si2 Si 0.000 0.460 0.250 1
Ni1 Ni 0.000 0.320 0.250 1
```

Top 10 peaks for 15 to 90 degrees two-theta, sorted by position:
h k l  2θ/deg  Rel. int.
0 4 0  22.14  21
1 1 0  22.75  24
0 2 1  24.91  29
0 4 1  31.60  18
1 1 1  32.05  40
1 5 0  35.80  100
0 6 1  40.58  16
2 0 0  45.00  16
0 0 2  45.43  16
1 5 2  59.12  19